No. 1
HoHBrCl: calculated powder XRD pattern (Cu Kα (weighted mean of Kα1 and Kα2)), based on a PBE-relaxed structure.

Most intense lines, 10 to 90 degrees two-theta, by angle:
d [Å], 2θ (°), intensity
7.424, 11.9, 82
3.712, 24.0, 19
3.375, 26.4, 88
3.264, 27.3, 100
2.710, 33.1, 22
2.475, 36.3, 16
2.328, 38.7, 36
2.158, 41.9, 42
1.971, 46.0, 40
1.865, 48.8, 27
1.741, 52.6, 20
1.542, 60.0, 23

Atomic structure:
```
data_HoHBrCl
_chemical_formula_sum 'Ho2 H2 Br2 Cl2'
_space_group_name_H-M_alt 'C 1 m 1'
_space_group_IT_number 8
_space_group_name_Hall 'C -2y'
_cell_length_a 6.830
_cell_length_b 3.942
_cell_length_c 7.766
_cell_angle_alpha 90.00
_cell_angle_beta 107.06
_cell_angle_gamma 90.00
loop_
_atom_site_label
_atom_site_type_symbol
_atom_site_fract_x
_atom_site_fract_y
_atom_site_fract_z
Ho1 Ho 0.000 0.000 0.000
H1 H 0.157 0.500 0.971
Br1 Br 0.384 0.500 0.656
Cl1 Cl 0.403 0.000 0.208
```

No. 2
Cd2In3Pb4: calculated powder XRD pattern (Cu Kα (weighted mean of Kα1 and Kα2)), based on a PBE-relaxed structure.

Most intense lines, 10 to 90 degrees two-theta, by angle:
d [Å], 2θ (°), intensity
3.037, 29.4, 51
3.014, 29.6, 18
2.719, 32.9, 100
2.710, 33.1, 38
2.578, 34.8, 79
2.434, 36.9, 14
2.022, 44.8, 27
1.754, 52.2, 40
1.596, 57.8, 21
1.519, 61.0, 14
1.473, 63.1, 51
1.128, 86.2, 14

Atomic structure:
```
data_Cd2In3Pb4
_chemical_formula_sum 'Cd2 In3 Pb4'
_space_group_name_H-M_alt 'P 3 m 1'
_space_group_IT_number 156
_space_group_name_Hall 'P 3 -2"'
_cell_length_a 3.5073
_cell_length_b 3.5073
_cell_length_c 24.3887
_cell_angle_alpha 90.00
_cell_angle_beta 90.00
_cell_angle_gamma 120.00
loop_
_atom_site_label
_atom_site_type_symbol
_atom_site_fract_x
_atom_site_fract_y
_atom_site_fract_z
Cd1 Cd 0.0000 0.0000 0.0000
Cd2 Cd 0.0000 0.0000 0.1976
In1 In 0.0000 0.0000 0.7805
In2 In 0.3333 0.6667 0.0982
In3 In 0.3333 0.6667 0.4333
Pb1 Pb 0.0000 0.0000 0.3202
Pb2 Pb 0.0000 0.0000 0.5484
Pb3 Pb 0.3333 0.6667 0.6672
Pb4 Pb 0.3333 0.6667 0.8942
```

No. 3
Ba2SmNpN4: calculated powder XRD pattern (Cu Kα (weighted mean of Kα1 and Kα2)), based on a PBE-relaxed structure.

Most intense lines, 10 to 90 degrees two-theta, by angle:
d [Å], 2θ (°), intensity
6.413, 13.8, 17
3.206, 27.8, 63
2.994, 29.8, 100
2.951, 30.3, 48
2.629, 34.1, 96
2.618, 34.3, 46
1.914, 47.5, 34
1.896, 48.0, 17
1.802, 50.7, 30
1.639, 56.1, 30
1.586, 58.2, 17
1.574, 58.6, 17

Atomic structure:
```
data_Ba2SmNpN4
_chemical_formula_sum 'Ba2 Sm1 Np1 N4'
_space_group_name_H-M_alt 'P 1 2/m 1'
_space_group_IT_number 10
_space_group_name_Hall '-P 2y'
_cell_length_a 6.215
_cell_length_b 3.650
_cell_length_c 6.752
_cell_angle_alpha 90.00
_cell_angle_beta 108.24
_cell_angle_gamma 90.00
loop_
_atom_site_label
_atom_site_type_symbol
_atom_site_fract_x
_atom_site_fract_y
_atom_site_fract_z
Ba1 Ba 0.000 0.000 0.000
Ba2 Ba 0.500 0.500 0.000
Sm1 Sm 0.000 0.500 0.500
Np1 Np 0.500 0.000 0.500
N1 N 0.272 0.000 0.676
N2 N 0.297 0.500 0.321
```